Computed powder diffraction line list of Th2ZnIn3 for Cu Kα (λ = 1.5418 Å), from a PBE-relaxed structure.

Principal peaks in the range 2θ from 10° to 90°, by intensity:
2θ 32.05, d 2.793, I = 100
2θ 36.57, d 2.457, I = 61
2θ 49.40, d 1.845, I = 30
2θ 63.00, d 1.475, I = 29
2θ 62.86, d 1.478, I = 25
2θ 20.87, d 4.256, I = 18
2θ 86.46, d 1.126, I = 11
2θ 65.82, d 1.419, I = 11
2θ 49.24, d 1.851, I = 9
2θ 86.56, d 1.124, I = 8

Structural model:
abc: 9.833 9.287 6.151
angles: 76.12 66.48 37.39
Sites, in units of the cell vectors:
Th  0.248  0.752  0.752
Th  0.250  0.250  0.250
Th  0.750  0.750  0.750
Th  0.752  0.248  0.248
Zn  0.333  0.333  0.667
Zn  0.667  0.667  0.333
In  0.172  0.172  0.828
In  0.172  0.657  0.343
In  0.343  0.828  0.172
In  0.657  0.172  0.828
In  0.828  0.343  0.657
In  0.828  0.828  0.172

=====

Computed powder diffraction line list of ScCuTeS for Cu Kα (λ = 1.5418 Å), from a PBE-relaxed structure.

Principal peaks in the range 2θ from 10° to 90°, by intensity:
2θ 35.19, d 2.550, I = 100
2θ 29.60, d 3.018, I = 86
2θ 27.03, d 3.299, I = 58
2θ 37.74, d 2.384, I = 45
2θ 48.68, d 1.871, I = 41
2θ 49.73, d 1.834, I = 38
2θ 22.11, d 4.021, I = 31
2θ 43.95, d 2.060, I = 31
2θ 45.10, d 2.010, I = 27
2θ 60.22, d 1.537, I = 22

Structural model:
abc: 4.021 4.767 4.569
angles: 90.00 90.00 90.00
Sites, in units of the cell vectors:
Sc  0.000  0.000  0.000
Cu  0.500  0.500  0.845
Te  0.500  0.000  0.546
S  0.000  0.500  0.111

=====

Computed powder diffraction line list of Y2Al8Pt for Cu Kα (λ = 1.5418 Å), from a PBE-relaxed structure.

Principal peaks in the range 2θ from 10° to 90°, by intensity:
2θ 38.19, d 2.357, I = 100
2θ 20.68, d 4.294, I = 85
2θ 31.74, d 2.819, I = 56
2θ 42.08, d 2.147, I = 46
2θ 74.32, d 1.276, I = 28
2θ 22.17, d 4.010, I = 28
2θ 53.66, d 1.708, I = 26
2θ 29.42, d 3.036, I = 25
2θ 23.81, d 3.737, I = 22
2θ 47.34, d 1.920, I = 19

Structural model:
abc: 4.294 4.294 11.211
angles: 90.00 90.00 90.00
Sites, in units of the cell vectors:
Y  0.000  0.000  0.188
Y  0.000  0.000  0.812
Al  0.000  0.500  0.000
Al  0.000  0.500  0.375
Al  0.000  0.500  0.625
Al  0.500  0.000  0.000
Al  0.500  0.000  0.375
Al  0.500  0.000  0.625
Al  0.500  0.500  0.196
Al  0.500  0.500  0.804
Pt  0.000  0.000  0.500

=====

Computed powder diffraction line list of Sr2GaAu7 for Cu Kα (λ = 1.5418 Å), from a PBE-relaxed structure.

Principal peaks in the range 2θ from 10° to 90°, by intensity:
2θ 32.52, d 2.754, I = 100
2θ 41.41, d 2.181, I = 77
2θ 41.53, d 2.174, I = 68
2θ 21.66, d 4.103, I = 54
2θ 42.02, d 2.150, I = 43
2θ 29.86, d 2.992, I = 40
2θ 60.56, d 1.529, I = 30
2θ 75.69, d 1.257, I = 27
2θ 60.18, d 1.538, I = 23
2θ 70.09, d 1.342, I = 22

Structural model:
abc: 4.349 4.349 12.370
angles: 90.00 90.00 90.00
Sites, in units of the cell vectors:
Sr  0.000  0.500  0.244
Sr  0.500  0.000  0.756
Ga  0.000  0.000  0.500
Au  0.000  0.000  0.000
Au  0.000  0.500  0.637
Au  0.000  0.500  0.854
Au  0.500  0.000  0.146
Au  0.500  0.000  0.363
Au  0.500  0.500  0.000
Au  0.500  0.500  0.500

=====

Computed powder diffraction line list of Na2Tl5Pd4 for Cu Kα (λ = 1.5418 Å), from a PBE-relaxed structure.

Principal peaks in the range 2θ from 10° to 90°, by intensity:
2θ 30.76, d 2.907, I = 100
2θ 32.70, d 2.738, I = 98
2θ 39.48, d 2.283, I = 82
2θ 38.08, d 2.363, I = 58
2θ 43.44, d 2.083, I = 56
2θ 37.04, d 2.427, I = 51
2θ 15.99, d 5.543, I = 50
2θ 16.95, d 5.231, I = 42
2θ 24.04, d 3.701, I = 41
2θ 34.29, d 2.615, I = 39

Structural model:
abc: 6.648 6.648 7.282
angles: 107.37 107.37 57.85
Sites, in units of the cell vectors:
Na  0.099  0.099  0.241
Na  0.901  0.901  0.759
Tl  0.124  0.614  0.334
Tl  0.386  0.876  0.666
Tl  0.500  0.500  0.000
Tl  0.614  0.124  0.334
Tl  0.876  0.386  0.666
Pd  0.258  0.258  0.985
Pd  0.328  0.328  0.628
Pd  0.672  0.672  0.372
Pd  0.742  0.742  0.015

=====

Computed powder diffraction line list of Nd2InSn3Pd4 for Cu Kα (λ = 1.5418 Å), from a PBE-relaxed structure.

Principal peaks in the range 2θ from 10° to 90°, by intensity:
2θ 32.28, d 2.773, I = 100
2θ 39.55, d 2.278, I = 69
2θ 31.51, d 2.839, I = 58
2θ 51.42, d 1.777, I = 29
2θ 43.52, d 2.080, I = 28
2θ 46.20, d 1.965, I = 26
2θ 67.20, d 1.393, I = 24
2θ 57.18, d 1.611, I = 24
2θ 62.41, d 1.488, I = 22
2θ 82.56, d 1.169, I = 16

Structural model:
abc: 4.557 4.557 10.889
angles: 90.00 90.00 90.00
Sites, in units of the cell vectors:
Nd  0.000  0.500  0.242
Nd  0.500  0.000  0.758
In  0.000  0.000  0.500
Sn  0.000  0.500  0.873
Sn  0.500  0.000  0.127
Sn  0.500  0.500  0.500
Pd  0.000  0.000  0.000
Pd  0.000  0.500  0.635
Pd  0.500  0.000  0.365
Pd  0.500  0.500  0.000